Structure and computed PXRD pattern of UPS4Cl (a crystal structure in Alexandria, relaxed with GGA-PBE; Cu Kα).

```
UPS4Cl
1.0
5.3929 -4.2946 0.0000
5.3929 4.2946 0.0000
-2.0194 0.0000 7.5845
U P S Cl
2 2 8 2
Direct
0.2152 0.2152 0.1233
0.7848 0.7848 0.8767
0.3567 0.3567 0.7221
0.6433 0.6433 0.2779
0.1456 0.5000 0.8930
0.2200 0.2200 0.4913
0.4617 0.4617 0.3058
0.5000 0.1456 0.8930
0.5000 0.8544 0.1070
0.5383 0.5383 0.6942
0.7800 0.7800 0.5087
0.8544 0.5000 0.1070
0.0238 0.0238 0.8093
0.9762 0.9762 0.1907
```

Largest 6 diffraction maxima, sorted by position, 2θ = 10–90°:
two_theta	d [Å]	Rel. int.
11.67	7.585	100
16.26	5.453	79
17.01	5.211	67
20.68	4.295	94
23.06	3.857	43
25.07	3.552	50

Structure and computed PXRD pattern of Sb2P3Cl9 (a crystal structure in Alexandria, relaxed with GGA-PBE; Cu Kα).

```
Sb2P3Cl9
1.0
7.0325 0.0000 0.0000
-0.3709 7.0377 0.0000
-2.2772 -2.2717 11.1835
Sb P Cl
2 3 9
Direct
0.2403 0.2415 0.4244
0.7597 0.7585 0.5756
0.2511 0.2019 0.9296
0.5000 0.5000 0.5000
0.7489 0.7981 0.0704
0.0000 0.0000 0.5000
0.0000 0.5000 0.5000
0.0394 0.7714 0.1377
0.2723 0.9172 0.8511
0.3840 0.3484 0.8241
0.5000 0.0000 0.5000
0.6160 0.6516 0.1759
0.7277 0.0828 0.1489
0.9606 0.2286 0.8623
```

Largest 6 diffraction maxima, sorted by position, 2θ = 10–90°:
two_theta	d [Å]	Rel. int.
15.85	5.592	48
17.36	5.107	62
18.29	4.852	100
19.05	4.658	47
22.37	3.974	44
22.51	3.950	47

Structure and computed PXRD pattern of Sb2P3Cl9 (a crystal structure in Alexandria, relaxed with GGA-PBE; Cu Kα).

```
Sb2P3Cl9
1.0
6.4538 -3.9414 0.0000
6.4538 3.9414 0.0000
-0.8956 0.0000 12.1158
Sb P Cl
2 3 9
Direct
0.0168 0.0168 0.2379
0.9832 0.9832 0.7621
0.0326 0.9674 0.0000
0.0597 0.2053 0.6376
0.7947 0.9403 0.3624
0.1816 0.1536 0.9348
0.2309 0.6842 0.6820
0.2924 0.7076 0.0000
0.3158 0.7691 0.3180
0.5360 0.1905 0.3371
0.6875 0.0062 0.6634
0.8095 0.4640 0.6629
0.8464 0.8184 0.0652
0.9938 0.3125 0.3366
```

Largest 6 diffraction maxima, sorted by position, 2θ = 10–90°:
two_theta	d [Å]	Rel. int.
13.17	6.722	100
13.76	6.436	35
14.62	6.058	22
19.35	4.587	31
23.61	3.769	15
39.33	2.291	15

Structure and computed PXRD pattern of SbPCl8 (a crystal structure in Alexandria, relaxed with GGA-PBE; Cu Kα).

```
SbPCl8
1.0
7.8446 0.0000 0.0000
0.0000 7.8446 0.0000
0.0000 0.0000 27.6833
Sb P Cl
4 4 32
Direct
0.0380 0.8583 0.0000
0.1417 0.0380 0.2500
0.8583 0.9620 0.7500
0.9620 0.1417 0.5000
0.3020 0.6729 0.6183
0.3271 0.3020 0.8683
0.6729 0.6980 0.3683
0.6980 0.3271 0.1183
0.0390 0.1248 0.0376
0.0769 0.3005 0.2114
0.0929 0.1723 0.4247
0.0983 0.3623 0.9014
0.1248 0.9610 0.7876
0.1689 0.6295 0.0393
0.1723 0.9071 0.1747
0.2101 0.7759 0.2882
0.2241 0.2101 0.5382
0.3005 0.9231 0.9614
0.3195 0.4637 0.8094
0.3623 0.9017 0.6514
0.3705 0.1689 0.2893
0.4297 0.5029 0.6625
0.4637 0.6805 0.5594
0.4971 0.4297 0.9125
0.5029 0.5703 0.4125
0.5363 0.3195 0.0594
0.5703 0.4971 0.1625
0.6295 0.8311 0.7893
0.6377 0.0983 0.1514
0.6805 0.5363 0.3094
0.6995 0.0769 0.4614
0.7759 0.7899 0.0382
0.7899 0.2241 0.7882
0.8277 0.0929 0.6747
0.8311 0.3705 0.5393
0.8752 0.0390 0.2876
0.9017 0.6377 0.4014
0.9071 0.8277 0.9247
0.9231 0.6995 0.7114
0.9610 0.8752 0.5376
```

Largest 6 diffraction maxima, sorted by position, 2θ = 10–90°:
two_theta	d [Å]	Rel. int.
11.28	7.845	53
14.82	5.977	72
15.98	5.547	45
16.30	5.439	57
17.09	5.190	100
22.90	3.884	49

Structure and computed PXRD pattern of SbP2Cl8 (a crystal structure in Alexandria, relaxed with GGA-PBE; Cu Kα).

```
SbP2Cl8
1.0
7.7616 -3.6004 0.0000
7.7616 3.6004 0.0000
-5.7299 0.0000 7.9535
Sb P Cl
1 2 8
Direct
0.0000 0.0000 0.0000
0.3367 0.3367 0.3264
0.6633 0.6633 0.6736
0.0016 0.0016 0.2587
0.0118 0.4495 0.1963
0.3473 0.3473 0.5438
0.4495 0.0118 0.1963
0.5505 0.9882 0.8037
0.6527 0.6527 0.4562
0.9882 0.5505 0.8037
0.9984 0.9984 0.7413
```

Largest 6 diffraction maxima, sorted by position, 2θ = 10–90°:
two_theta	d [Å]	Rel. int.
11.77	7.520	18
14.17	6.251	31
15.28	5.800	100
18.13	4.893	21
24.54	3.627	59
28.56	3.126	28

Structure and computed PXRD pattern of Sm3SbPCl (a crystal structure in Alexandria, relaxed with GGA-PBE; Cu Kα).

```
Sm3SbPCl
1.0
8.5863 0.0000 0.0000
0.0000 4.2280 0.0000
-2.0293 0.0000 9.2224
Sm Sb P Cl
6 2 2 2
Direct
0.0723 0.2500 0.3510
0.2065 0.2500 0.9843
0.3863 0.7500 0.6343
0.6137 0.2500 0.3657
0.7935 0.7500 0.0157
0.9277 0.7500 0.6490
0.3213 0.7500 0.2805
0.6787 0.2500 0.7195
0.1576 0.2500 0.6565
0.8424 0.7500 0.3435
0.3879 0.7500 0.9223
0.6121 0.2500 0.0777
```

Largest 6 diffraction maxima, sorted by position, 2θ = 10–90°:
two_theta	d [Å]	Rel. int.
25.15	3.541	17
28.65	3.115	19
29.06	3.073	65
30.04	2.975	100
38.76	2.323	20
42.78	2.114	23

Structure and computed PXRD pattern of Sc4PCl6 (a crystal structure in Alexandria, relaxed with GGA-PBE; Cu Kα).

```
Sc4PCl6
1.0
12.0961 0.0000 0.0000
0.0000 12.6050 0.0000
0.0000 0.0000 3.6874
Sc P Cl
8 2 12
Direct
0.1120 0.0857 0.0000
0.1279 0.8464 0.5000
0.3721 0.3464 0.5000
0.3880 0.5857 0.0000
0.6120 0.4143 0.0000
0.6279 0.6536 0.5000
0.8721 0.1536 0.5000
0.8880 0.9143 0.0000
0.0000 0.0000 0.5000
0.5000 0.5000 0.5000
0.0186 0.7457 0.0000
0.2377 0.1781 0.5000
0.2456 0.4256 0.0000
0.2544 0.9256 0.0000
0.2623 0.6781 0.5000
0.4814 0.2457 0.0000
0.5186 0.7543 0.0000
0.7377 0.3219 0.5000
0.7456 0.0744 0.0000
0.7544 0.5744 0.0000
0.7623 0.8219 0.5000
0.9814 0.2543 0.0000
```

Largest 6 diffraction maxima, sorted by position, 2θ = 10–90°:
two_theta	d [Å]	Rel. int.
10.14	8.728	100
29.24	3.054	10
31.77	2.817	25
35.95	2.498	30
36.18	2.483	15
49.97	1.825	15

Structure and computed PXRD pattern of PSeCl9 (a crystal structure in Alexandria, relaxed with GGA-PBE; Cu Kα).

```
PSeCl9
1.0
-8.4574 6.3717 6.3537
8.4574 -6.3717 6.3537
8.4574 6.3717 -6.3537
P Se Cl
4 4 36
Direct
0.2256 0.0271 0.2527
0.2256 0.4729 0.6985
0.7744 0.5271 0.3015
0.7744 0.9729 0.7473
0.1947 0.5419 0.1528
0.3891 0.0419 0.8472
0.7124 0.9666 0.2457
0.7209 0.4666 0.7543
0.0063 0.3698 0.1366
0.0364 0.5737 0.9627
0.0447 0.4405 0.6796
0.0447 0.8652 0.1042
0.1906 0.0332 0.6573
0.2050 0.4040 0.0162
0.2050 0.6888 0.3010
0.2247 0.0260 0.4113
0.2247 0.3134 0.6986
0.2289 0.1802 0.2122
0.2289 0.5166 0.5487
0.2332 0.8698 0.8634
0.3759 0.5332 0.3427
0.3878 0.1888 0.9838
0.3878 0.9040 0.6990
0.4025 0.0402 0.2829
0.4025 0.6196 0.8623
0.4593 0.7929 0.1664
0.4944 0.4035 0.5909
0.6111 0.0737 0.0373
0.6147 0.5260 0.3014
0.6147 0.8134 0.5887
0.6265 0.2929 0.8336
0.7161 0.1133 0.3894
0.7161 0.8267 0.1028
0.7239 0.3267 0.6106
0.7239 0.6133 0.8972
0.7573 0.1196 0.7171
0.7573 0.5402 0.1377
0.7610 0.3652 0.3204
0.7610 0.9405 0.8958
0.8127 0.9035 0.4091
0.8396 0.6443 0.6953
0.9490 0.1443 0.3047
0.9679 0.0166 0.7878
0.9679 0.6802 0.4513
```

Largest 6 diffraction maxima, sorted by position, 2θ = 10–90°:
two_theta	d [Å]	Rel. int.
17.44	5.084	100
19.73	4.499	46
29.42	3.036	20
29.86	2.992	50
31.74	2.819	24
35.99	2.496	34